Structure and theoretical X-ray diffraction stick pattern of LiV3O5F (a structure optimized by DFT (PBE+U); Cu Kα).
Peak positions follow from Bragg's law for the DFT cell and can differ from measured ones.

Peak list (8 most intense, 2θ = 10–90°, in order of rising 2θ)
2θ 21.04, 4.222 Å, rel. 76, (0 1 -1); 2θ 23.87, 3.729 Å, rel. 100, (1 -1 1); 2θ 32.28, 2.773 Å, rel. 58, (1 0 1); 2θ 32.54, 2.752 Å, rel. 62, (-1 1 1); 2θ 32.85, 2.726 Å, rel. 62, (0 1 -2); 2θ 35.10, 2.557 Å, rel. 70, (2 -1 0); 2θ 40.19, 2.244 Å, rel. 70, (2 -1 1); 2θ 62.47, 1.487 Å, rel. 53, (3 0 -1)

Unit cell a=5.1123 b=5.1165 c=5.4829 alpha=117.15 beta=90.13 gamma=119.29
Sites, in units of the cell vectors:
1 Li 0.0000 0.0000 0.0000
2 V 0.2337 0.4128 0.6339
3 V 0.5631 0.0486 0.5431
4 V 0.7664 0.4727 0.1602
5 O 0.1508 0.9273 0.3604
6 O 0.4677 0.5992 0.3884
7 O 0.6066 0.4956 0.8399
8 O 0.8277 0.2526 0.3620
9 O 0.9404 0.2502 0.8391
10 F 0.3423 0.9368 0.8697


Structure and theoretical X-ray diffraction stick pattern of LiV2OF5 (a structure optimized by DFT (PBE+U); Cu Kα).
Peak positions follow from Bragg's law for the DFT cell and can differ from measured ones.

Peak list (8 most intense, 2θ = 10–90°, in order of rising 2θ)
2θ 20.31, 4.373 Å, rel. 84, (0 1 -1); 2θ 28.11, 3.175 Å, rel. 100, (1 2 1); 2θ 28.22, 3.163 Å, rel. 90, (1 1 2); 2θ 28.35, 3.148 Å, rel. 43, (1 -1 1); 2θ 28.46, 3.136 Å, rel. 56, (-1 2 1); 2θ 40.69, 2.218 Å, rel. 44, (1 0 -3); 2θ 40.82, 2.211 Å, rel. 43, (1 3 3); 2θ 41.11, 2.196 Å, rel. 42, (-1 3 3)

Unit cell a=4.5804 b=8.6982 c=8.7442 alpha=60.20 beta=89.91 gamma=89.35
Sites, in units of the cell vectors:
1 Li 0.0000 0.0000 0.0000
2 Li 0.0250 0.3327 0.3355
3 Li 0.5123 0.6640 0.6694
4 V 0.0009 0.6708 0.3556
5 V 0.0025 0.9911 0.6725
6 V 0.0367 0.3571 0.9840
7 V 0.5005 0.6560 0.0121
8 V 0.5312 0.9986 0.3270
9 V 0.5339 0.3035 0.6753
10 O 0.2820 0.5480 0.9134
11 O 0.7519 0.7910 0.4276
12 O 0.7738 0.1055 0.7634
13 F 0.2514 0.8805 0.8948
14 F 0.2510 0.8947 0.2229
15 F 0.2525 0.5612 0.2362
16 F 0.2573 0.2193 0.2156
17 F 0.2596 0.2256 0.8782
18 F 0.2608 0.2089 0.5551
19 F 0.2790 0.8921 0.5537
20 F 0.2811 0.5420 0.5596
21 F 0.7514 0.7700 0.7878
22 F 0.7617 0.4363 0.7804
23 F 0.7711 0.4395 0.4550
24 F 0.7758 0.7650 0.1236
25 F 0.7811 0.1293 0.1023
26 F 0.7824 0.4466 0.1183
27 F 0.7840 0.1068 0.4395


Structure and theoretical X-ray diffraction stick pattern of Li2VO2F (a structure optimized by DFT (PBE+U); Cu Kα).
Peak positions follow from Bragg's law for the DFT cell and can differ from measured ones.

Peak list (8 most intense, 2θ = 10–90°, in order of rising 2θ)
2θ 16.12, 5.498 Å, rel. 50, (0 1 -1); 2θ 20.84, 4.262 Å, rel. 100, (1 0 -1); 2θ 23.65, 3.762 Å, rel. 62, (1 0 1); 2θ 30.75, 2.908 Å, rel. 95, (0 2 0); 2θ 42.42, 2.131 Å, rel. 93, (2 0 -2); 2θ 43.55, 2.078 Å, rel. 94, (1 1 2); 2θ 44.54, 2.034 Å, rel. 83, (1 -3 2); 2θ 62.42, 1.488 Å, rel. 48, (-1 1 4)

Unit cell a=5.1681 b=6.4483 c=7.1972 alpha=110.26 beta=91.85 gamma=104.27
Sites, in units of the cell vectors:
1 Li 0.0000 0.0000 0.0000
2 Li 0.0837 0.7504 0.5775
3 Li 0.1755 0.5031 0.1602
4 Li 0.3378 0.0024 0.3314
5 Li 0.5037 0.4982 0.4983
6 Li 0.5894 0.2553 0.0830
7 Li 0.6793 0.0044 0.6591
8 Li 0.8369 0.4999 0.8295
9 V 0.2838 0.2404 0.7413
10 V 0.3987 0.7599 0.9176
11 V 0.7805 0.7433 0.2364
12 V 0.9023 0.2587 0.4185
13 O 0.0097 0.0118 0.4978
14 O 0.0812 0.7515 0.0827
15 O 0.1668 0.4849 0.6645
16 O 0.3356 0.0071 0.8280
17 O 0.5026 0.5022 0.9896
18 O 0.5825 0.2516 0.5832
19 O 0.6739 0.9982 0.1730
20 O 0.8370 0.5022 0.3321
21 F 0.2389 0.2578 0.2498
22 F 0.4424 0.7447 0.4064
23 F 0.7385 0.7596 0.7519
24 F 0.9402 0.2441 0.9080


Structure and theoretical X-ray diffraction stick pattern of Li3V2O4F2 (a structure optimized by DFT (PBE+U); Cu Kα).
Peak positions follow from Bragg's law for the DFT cell and can differ from measured ones.

Peak list (8 most intense, 2θ = 10–90°, in order of rising 2θ)
2θ 11.96, 7.400 Å, rel. 100, (0 0 1); 2θ 24.05, 3.700 Å, rel. 35, (0 0 2); 2θ 34.16, 2.625 Å, rel. 6, (0 2 1); 2θ 34.32, 2.613 Å, rel. 8, (2 0 0); 2θ 35.51, 2.528 Å, rel. 14, (2 2 1); 2θ 40.72, 2.216 Å, rel. 20, (0 2 -1); 2θ 42.11, 2.146 Å, rel. 20, (2 0 -2); 2θ 45.02, 2.014 Å, rel. 16, (2 2 3)

Unit cell a=5.9024 b=5.9443 c=7.7601 alpha=72.48 beta=82.51 gamma=62.30
Sites, in units of the cell vectors:
1 Li 0.0654 0.3388 0.3901
2 Li 0.4069 0.6287 0.6281
3 Li 0.4264 0.0987 0.6494
4 Li 0.5736 0.9013 0.3506
5 Li 0.5931 0.3713 0.3719
6 Li 0.9346 0.6612 0.6099
7 V 0.2486 0.2485 0.0034
8 V 0.2499 0.7475 0.0067
9 V 0.7501 0.2525 0.9933
10 V 0.7514 0.7515 0.9966
11 O 0.0836 0.6295 0.8588
12 O 0.0945 0.1441 0.8673
13 O 0.4183 0.3475 0.1440
14 O 0.4302 0.8601 0.1409
15 O 0.5698 0.1399 0.8591
16 O 0.5817 0.6525 0.8560
17 O 0.9055 0.8559 0.1327
18 O 0.9164 0.3705 0.1412
19 F 0.2621 0.4696 0.5119
20 F 0.2779 0.9887 0.5055
21 F 0.7221 0.0113 0.4945
22 F 0.7379 0.5304 0.4881


Structure and theoretical X-ray diffraction stick pattern of Li2VO2F (a structure optimized by DFT (PBE+U); Cu Kα).
Peak positions follow from Bragg's law for the DFT cell and can differ from measured ones.

Peak list (8 most intense, 2θ = 10–90°, in order of rising 2θ)
2θ 13.00, 6.811 Å, rel. 60, (0 0 1); 2θ 23.01, 3.864 Å, rel. 100, (1 1 0); 2θ 25.44, 3.502 Å, rel. 46, (1 -1 1); 2θ 25.66, 3.472 Å, rel. 43, (-1 1 1); 2θ 39.70, 2.270 Å, rel. 76, (0 0 3); 2θ 44.65, 2.029 Å, rel. 56, (2 -2 0); 2θ 44.99, 2.015 Å, rel. 55, (2 2 -1); 2θ 61.55, 1.507 Å, rel. 50, (2 2 2)

Unit cell a=5.7197 b=5.7197 c=7.1041 alpha=101.93 beta=101.15 gamma=90.41
Sites, in units of the cell vectors:
1 Li 0.0058 0.2556 0.0232
2 Li 0.1614 0.4096 0.6428
3 Li 0.3383 0.0900 0.3572
4 Li 0.4942 0.2442 0.9767
5 Li 0.5058 0.7558 0.0233
6 Li 0.6617 0.9100 0.6428
7 Li 0.8386 0.5904 0.3572
8 Li 0.9942 0.7444 0.9768
9 V 0.1677 0.9136 0.6626
10 V 0.3327 0.5857 0.3371
11 V 0.6673 0.4143 0.6629
12 V 0.8323 0.0864 0.3374
13 O 0.0797 0.3317 0.3228
14 O 0.0862 0.8398 0.3518
15 O 0.4136 0.6602 0.6478
16 O 0.4203 0.1683 0.6771
17 O 0.5797 0.8317 0.3229
18 O 0.5864 0.3398 0.3522
19 O 0.9138 0.1602 0.6482
20 O 0.9203 0.6683 0.6772
21 F 0.2444 0.9937 0.9761
22 F 0.2560 0.5058 0.0237
23 F 0.7440 0.4942 0.9763
24 F 0.7556 0.0063 0.0239


Structure and theoretical X-ray diffraction stick pattern of Li4V2OF7 (a structure optimized by DFT (PBE+U); Cu Kα).
Peak positions follow from Bragg's law for the DFT cell and can differ from measured ones.

Peak list (8 most intense, 2θ = 10–90°, in order of rising 2θ)
2θ 18.02, 4.921 Å, rel. 93, (1 0 0); 2θ 18.16, 4.884 Å, rel. 100, (1 1 1); 2θ 20.88, 4.255 Å, rel. 46, (0 1 1); 2θ 34.36, 2.610 Å, rel. 49, (1 0 2); 2θ 41.94, 2.154 Å, rel. 54, (2 2 0); 2θ 42.06, 2.148 Å, rel. 51, (2 0 2); 2θ 42.50, 2.127 Å, rel. 52, (0 2 2); 2θ 61.48, 1.508 Å, rel. 31, (2 4 2)

Unit cell a=5.9986 b=6.0334 c=6.0364 alpha=61.53 beta=60.68 gamma=60.47
Sites, in units of the cell vectors:
1 Li 0.0000 0.0000 0.0000
2 Li 0.1027 0.6392 0.6181
3 Li 0.5124 0.9869 0.9946
4 Li 0.8718 0.3739 0.3996
5 V 0.5038 0.5024 0.0039
6 V 0.5125 0.9884 0.5150
7 O 0.7115 0.7619 0.7445
8 F 0.2453 0.7684 0.2285
9 F 0.2537 0.2315 0.7421
10 F 0.2552 0.7591 0.7529
11 F 0.2720 0.2347 0.2630
12 F 0.7296 0.7795 0.2523
13 F 0.7414 0.2303 0.7851
14 F 0.7458 0.2382 0.2595